# 1
Starting from a DFT-relaxed cell (PBE, Alexandria), the powder diffraction line list of Nd2In5Pt3 was calculated for Cu Kα (λ = 1.5418 Å).
Intensities are scaled so that the largest is 100.

Most intense lines, 10 to 80 degrees two-theta, in order of rising 2θ:
| h k l | 2θ/deg | intensity |
| --- | --- | --- |
| 1 3 2 | 32.8 | 100.0 |
| 0 10 1 | 35.4 | 19.9 |
| 1 9 0 | 35.9 | 16.1 |
| 2 0 0 | 39.7 | 33.1 |
| 1 3 3 | 42.9 | 18.4 |
| 1 9 2 | 43.7 | 19.1 |
| 1 17 0 | 61.9 | 17.7 |
| 3 3 2 | 67.7 | 18.1 |

Structure:
a = 4.541 Å, b = 26.954 Å, c = 7.409 Å
α = 90.00°, β = 90.00°, γ = 90.00°
Space group Cmc2_1 (No. 36)
Unique sites:
Nd 0.000 0.022 0.000 [4 per cell]
Nd 0.000 0.325 0.928 [4 per cell]
In 0.000 0.099 0.628 [4 per cell]
In 0.000 0.207 0.130 [4 per cell]
In 0.000 0.208 0.721 [4 per cell]
In 0.000 0.376 0.475 [4 per cell]
In 0.000 0.447 0.832 [4 per cell]
Pt 0.000 0.109 0.243 [4 per cell]
Pt 0.000 0.272 0.424 [4 per cell]
Pt 0.000 0.454 0.216 [4 per cell]


# 2
Starting from a DFT-relaxed cell (PBE, Alexandria), the powder diffraction line list of TbSb2Rh4 was calculated for Cu Kα (λ = 1.5418 Å).
Intensities are scaled so that the largest is 100.

Most intense lines, 10 to 80 degrees two-theta, in order of rising 2θ:
| h k l | 2θ/deg | intensity |
| --- | --- | --- |
| 2 2 0 | 31.8 | 22.4 |
| 2 1 1 | 33.3 | 100.0 |
| 3 1 0 | 35.6 | 39.0 |
| 2 2 1 | 38.8 | 39.6 |
| 3 1 1 | 42.1 | 81.0 |
| 0 0 2 | 44.0 | 36.2 |
| 4 1 0 | 47.0 | 24.8 |
| 4 4 0 | 66.4 | 23.4 |

Structure:
a = 7.967 Å, b = 7.967 Å, c = 4.112 Å
α = 90.00°, β = 90.00°, γ = 90.00°
Space group P4_2/mnm (No. 136)
Unique sites:
Tb 0.000 0.000 0.000 [2 per cell]
Sb 0.224 0.224 0.500 [4 per cell]
Rh 0.081 0.656 0.500 [8 per cell]


# 3
Starting from a DFT-relaxed cell (PBE, Alexandria), the powder diffraction line list of USbP2 was calculated for Cu Kα (λ = 1.5418 Å).
Intensities are scaled so that the largest is 100.

Most intense lines, 10 to 80 degrees two-theta, in order of rising 2θ:
| h k l | 2θ/deg | intensity |
| --- | --- | --- |
| 0 0 3 | 10.9 | 36.6 |
| 0 0 6 | 21.9 | 41.5 |
| 0 1 2 | 26.8 | 100.0 |
| 1 0 4 | 29.7 | 49.9 |
| 0 1 8 | 39.4 | 43.5 |
| 1 1 0 | 45.5 | 60.6 |
| 1 1 6 | 51.0 | 27.3 |
| 2 0 2 | 53.6 | 15.0 |

Structure:
a = 3.9855 Å, b = 3.9855 Å, c = 24.3957 Å
α = 90.00°, β = 90.00°, γ = 120.00°
Space group R-3m (No. 166, hexagonal axes)
Unique sites:
U 0.0000 0.0000 0.0000 [3 per cell]
Sb 0.0000 0.0000 0.5000 [3 per cell]
P 0.0000 0.0000 0.3897 [6 per cell]


# 4
Starting from a DFT-relaxed cell (PBE, Alexandria), the powder diffraction line list of La2TmAs3 was calculated for Cu Kα (λ = 1.5418 Å).
Intensities are scaled so that the largest is 100.

Most intense lines, 10 to 80 degrees two-theta, in order of rising 2θ:
| h k l | 2θ/deg | intensity |
| --- | --- | --- |
| 1 0 3 | 25.5 | 27.4 |
| 1 1 0 | 29.4 | 100.0 |
| 0 0 6 | 29.6 | 48.8 |
| 2 0 0 | 42.1 | 37.7 |
| 1 1 6 | 42.2 | 74.0 |
| 2 0 6 | 52.3 | 39.5 |
| 3 1 0 | 69.3 | 34.0 |
| 3 1 6 | 77.1 | 25.1 |

Structure:
a = 4.291 Å, b = 4.291 Å, c = 18.109 Å
α = 90.00°, β = 90.00°, γ = 90.00°
Space group I4/mmm (No. 139)
Unique sites:
La 0.000 0.000 0.165 [4 per cell]
Tm 0.000 0.000 0.500 [2 per cell]
As 0.000 0.000 0.000 [2 per cell]
As 0.000 0.000 0.338 [4 per cell]